Calculated X-ray diffraction stick pattern of LiAc2BeIr2 for λ = 1.5418 Å (Cu Kα), from DFT lattice parameters and positions (PBE).
Intensities are scaled so that the largest is 100.

Main lines, by angle (2θ from 10° to 80°):
2θ 24.88, I = 61.3
2θ 29.56, I = 66.8
2θ 29.96, I = 71.4
2θ 32.73, I = 100.0
2θ 39.01, I = 37.3
2θ 39.33, I = 40.6
2θ 42.59, I = 53.6
2θ 49.95, I = 34.8
2θ 54.97, I = 23.6
2θ 55.75, I = 51.7

Atomic structure:
```
data_LiAc2BeIr2
_cell_length_a 6.044
_cell_length_b 14.315
_cell_length_c 5.965
_cell_angle_alpha 90.00
_cell_angle_beta 90.00
_cell_angle_gamma 90.00
_symmetry_space_group_name_H-M 'I b a m'
_symmetry_Int_Tables_number 72
_symmetry_space_group_name_Hall '-I 2 2c'
loop_
_atom_site_label
_atom_site_type_symbol
_atom_site_fract_x
_atom_site_fract_y
_atom_site_fract_z
_atom_site_occupancy
Li1 Li 0.000 0.000 0.250 1
Ac1 Ac 0.243 0.159 0.000 1
Be1 Be 0.000 0.500 0.250 1
Ir1 Ir 0.214 0.398 0.000 1
```